Starting from a cell relaxed with PBE, the powder diffractogram of BaSnHgS4 was calculated for Cu Kα (weighted mean of Kα1 and Kα2).
Peak positions follow from Bragg's law for the DFT cell and can differ from measured ones.

Top 10 peaks for 2θ = 10–90°, by angle:
two_theta  I (rel.)  hkl
16.00  554  2 0 0
22.26  1000  2 1 1
22.73  592  2 2 0
26.44  265  0 0 2
27.61  797  0 3 1
32.29  394  4 0 0
35.14  851  2 2 2
42.20  275  4 0 2
42.99  483  4 3 1
46.25  352  2 5 1

Crystal structure
Lattice parameters (Å, degrees): 11.091 11.043 6.743 90.00 90.00 90.00
Space group Ama2 (No. 40)
One atom of each set of equivalent atoms:
Ba: 0.000 0.000 0.000
Sn: 0.250 0.212 0.514
Hg: 0.250 0.329 0.052
S: 0.082 0.235 0.285
S: 0.250 0.052 0.751
S: 0.250 0.402 0.706

=====

Starting from a cell relaxed with PBE, the powder diffractogram of TbAl2Ge2 was calculated for Cu Kα (weighted mean of Kα1 and Kα2).
Peak positions follow from Bragg's law for the DFT cell and can differ from measured ones.

Top 10 peaks for 2θ = 10–90°, by angle:
two_theta  I (rel.)  hkl
13.34  284  0 0 1
27.52  1000  0 1 1
36.30  697  0 1 2
42.13  516  1 1 0
47.86  195  1 0 3
51.06  182  2 0 1
56.80  190  2 0 2
60.09  148  1 1 3
68.28  151  1 2 1
73.19  178  1 2 2

Crystal structure
Lattice parameters (Å, degrees): 4.2897 4.2897 6.6354 90.00 90.00 120.00
Space group P-3m1 (No. 164)
One atom of each set of equivalent atoms:
Tb: 0.0000 0.0000 0.0000
Al: 0.3333 0.6667 0.6463
Ge: 0.3333 0.6667 0.2587

=====

Starting from a cell relaxed with PBE, the powder diffractogram of DyTh was calculated for Cu Kα (weighted mean of Kα1 and Kα2).
Peak positions follow from Bragg's law for the DFT cell and can differ from measured ones.

Top 10 peaks for 2θ = 10–90°, by angle:
two_theta  I (rel.)  hkl
22.18  30  1 0 0
31.57  1000  1 1 0
38.92  11  1 1 1
45.25  188  2 0 0
50.95  15  2 1 0
56.22  400  2 1 1
65.92  125  2 2 0
70.49  8  3 0 0
74.93  173  3 1 0
83.57  44  2 2 2

Crystal structure
Lattice parameters (Å, degrees): 4.008 4.008 4.008 90.00 90.00 90.00
Space group Pm-3m (No. 221)
One atom of each set of equivalent atoms:
Dy: 0.000 0.000 0.000
Th: 0.500 0.500 0.500

=====

Starting from a cell relaxed with PBE, the powder diffractogram of GeNCl3 was calculated for Cu Kα (weighted mean of Kα1 and Kα2).
Peak positions follow from Bragg's law for the DFT cell and can differ from measured ones.

Top 10 peaks for 2θ = 10–90°, by angle:
two_theta  I (rel.)  hkl
13.86  1000  0 1 1
17.30  819  1 1 1
20.71  404  2 0 0
21.18  361  1 0 2
27.89  764  0 2 2
29.83  212  1 2 2
34.32  145  3 1 1
36.53  183  3 0 2
43.77  249  1 3 3
48.33  341  2 2 4

Crystal structure
Lattice parameters (Å, degrees): 8.590 8.553 9.615 90.00 90.00 90.00
Space group Pnma (No. 62)
One atom of each set of equivalent atoms:
Ge: 0.234 0.250 0.141
N: 0.003 0.250 0.738
Cl: 0.030 0.750 0.768
Cl: 0.247 0.544 0.510

=====

Starting from a cell relaxed with PBE, the powder diffractogram of MgTi2Al4O10 was calculated for Cu Kα (weighted mean of Kα1 and Kα2).
Peak positions follow from Bragg's law for the DFT cell and can differ from measured ones.

Top 10 peaks for 2θ = 10–90°, by angle:
two_theta  I (rel.)  hkl
17.63  512  0 0 1
26.61  1000  1 0 0
28.14  835  1 1 0
32.55  845  0 3 1
40.25  512  0 2 2
41.31  384  1 2 -2
45.41  493  0 3 2
51.46  708  2 0 -1
52.82  600  1 4 1
55.71  407  1 2 2

Crystal structure
Lattice parameters (Å, degrees): 3.552 9.854 5.336 90.00 109.44 90.00
Space group Pm (No. 6)
One atom of each set of equivalent atoms:
Mg: 0.000 0.000 0.000
Ti: 0.320 0.500 0.636
Ti: 0.720 0.000 0.437
Al: 0.377 0.205 0.751
Al: 0.636 0.318 0.269
O: 0.209 0.303 0.416
O: 0.292 0.000 0.582
O: 0.465 0.366 0.928
O: 0.565 0.132 0.127
O: 0.716 0.500 0.429
O: 0.861 0.160 0.720

=====

Starting from a cell relaxed with PBE, the powder diffractogram of Zr2GeSb2 was calculated for Cu Kα (weighted mean of Kα1 and Kα2).
Peak positions follow from Bragg's law for the DFT cell and can differ from measured ones.

Top 10 peaks for 2θ = 10–90°, by angle:
two_theta  I (rel.)  hkl
29.73  1000  1 0 0
30.37  416  0 0 5
38.69  107  1 0 4
42.55  371  1 1 0
43.02  622  1 0 5
53.17  328  1 1 5
61.75  120  2 0 0
70.02  163  2 1 0
70.36  147  2 0 5
78.20  227  2 1 5

Crystal structure
Lattice parameters (Å, degrees): 3.005 3.005 14.716 90.00 90.00 90.00
Space group P4/mmm (No. 123)
One atom of each set of equivalent atoms:
Zr: 0.000 0.000 0.184
Ge: 0.000 0.000 0.000
Sb: 0.000 0.000 0.389

=====

Starting from a cell relaxed with PBE, the powder diffractogram of ErCo5P3 was calculated for Cu Kα (weighted mean of Kα1 and Kα2).
Peak positions follow from Bragg's law for the DFT cell and can differ from measured ones.

Top 10 peaks for 2θ = 10–90°, by angle:
two_theta  I (rel.)  hkl
27.13  207  1 1 1
30.28  154  2 0 3
35.87  146  1 0 4
38.14  193  3 1 2
39.34  1000  2 1 3
39.55  692  4 1 0
40.59  263  4 0 3
50.23  340  0 2 0
54.16  230  6 0 3
76.98  153  6 2 3

Crystal structure
Lattice parameters (Å, degrees): 11.699 3.633 10.251 90.00 90.00 90.00
Space group Pnma (No. 62)
One atom of each set of equivalent atoms:
Er: 0.203 0.250 0.083
Co: 0.009 0.750 0.717
Co: 0.013 0.750 0.093
Co: 0.068 0.750 0.468
Co: 0.176 0.250 0.779
Co: 0.198 0.250 0.383
P: 0.109 0.750 0.899
P: 0.112 0.250 0.582
P: 0.130 0.750 0.270